# CaSnS3
Calculated X-ray powder pattern, Cu Kα. Input: a cell relaxed with GGA-PBE.
Peak positions follow from Bragg's law for the DFT cell and can differ from measured ones.

Structural model:
Cell lengths 4.1334, 9.3685, 6.5090 Å; angles 90.00, 90.00, 90.00 degrees
Positions (direct):
Ca 0.0087 0.0000 0.0381
Ca 0.9913 0.5000 0.9619
Sn 0.4983 0.2298 0.5019
Sn 0.5017 0.7298 0.4981
S 0.0013 0.7780 0.7150
S 0.4931 0.4828 0.6640
S 0.4938 0.6660 0.1363
S 0.5062 0.1660 0.8637
S 0.5069 0.9828 0.3360
S 0.9987 0.2780 0.2850

The 10 most intense peaks (2θ from 5° to 70°), in order of rising 2θ:
13.60 deg, d = 6.509 Å, I = 57
18.95 deg, d = 4.684 Å, I = 42
21.50 deg, d = 4.133 Å, I = 41
23.40 deg, d = 3.802 Å, I = 100
25.53 deg, d = 3.489 Å, I = 97
28.81 deg, d = 3.099 Å, I = 52
40.18 deg, d = 2.244 Å, I = 99
43.80 deg, d = 2.067 Å, I = 34
46.10 deg, d = 1.969 Å, I = 37
46.71 deg, d = 1.945 Å, I = 51

***

# Ca3SnS5
Calculated X-ray powder pattern, Cu Kα. Input: a cell relaxed with GGA-PBE.
Peak positions follow from Bragg's law for the DFT cell and can differ from measured ones.

Structural model:
Cell lengths 12.1311, 12.1311, 12.1311 Å; angles 42.74, 42.74, 42.74 degrees
Positions (direct):
Ca 0.0195 0.4902 0.4902
Ca 0.2365 0.7451 0.7451
Ca 0.3011 0.3011 0.7445
Ca 0.3011 0.7445 0.3011
Ca 0.4902 0.0195 0.4902
Ca 0.4902 0.4902 0.0195
Ca 0.7445 0.3011 0.3011
Ca 0.7451 0.2365 0.7451
Ca 0.7451 0.7451 0.2365
Sn 0.0007 0.0007 0.0007
Sn 0.2226 0.2226 0.2226
Sn 0.7857 0.7857 0.7857
S 0.0418 0.6124 0.6124
S 0.0710 0.0710 0.0710
S 0.1069 0.1069 0.6886
S 0.1069 0.6886 0.1069
S 0.1513 0.1513 0.1513
S 0.3776 0.3776 0.3776
S 0.3926 0.3926 0.9439
S 0.3926 0.9439 0.3926
S 0.4996 0.4996 0.4996
S 0.6124 0.0418 0.6124
S 0.6124 0.6124 0.0418
S 0.6401 0.6401 0.6401
S 0.6886 0.1069 0.1069
S 0.8613 0.8613 0.8613
S 0.9439 0.3926 0.3926

The 10 most intense peaks (2θ from 5° to 70°), in order of rising 2θ:
15.79 deg, d = 5.613 Å, I = 32
17.74 deg, d = 5.000 Å, I = 46
20.09 deg, d = 4.421 Å, I = 65
23.39 deg, d = 3.803 Å, I = 63
24.26 deg, d = 3.668 Å, I = 38
26.92 deg, d = 3.312 Å, I = 52
30.06 deg, d = 2.972 Å, I = 35
31.89 deg, d = 2.807 Å, I = 41
40.83 deg, d = 2.210 Å, I = 100
42.72 deg, d = 2.116 Å, I = 39

***

# CaSnS3
Calculated X-ray powder pattern, Cu Kα. Input: a cell relaxed with GGA-PBE.
Peak positions follow from Bragg's law for the DFT cell and can differ from measured ones.

Structural model:
Cell lengths 6.5512, 6.9151, 10.3084 Å; angles 90.00, 90.00, 90.00 degrees
Positions (direct):
Ca 0.2378 0.2500 0.0887
Ca 0.2622 0.7500 0.5887
Ca 0.7378 0.2500 0.4113
Ca 0.7622 0.7500 0.9113
Sn 0.1252 0.7500 0.2467
Sn 0.3748 0.2500 0.7467
Sn 0.6252 0.7500 0.2533
Sn 0.8748 0.2500 0.7533
S 0.1042 0.2500 0.5558
S 0.1134 0.5023 0.8448
S 0.1134 0.9977 0.8448
S 0.3866 0.0023 0.3448
S 0.3866 0.4977 0.3448
S 0.3958 0.7500 0.0558
S 0.6042 0.2500 0.9442
S 0.6134 0.5023 0.6552
S 0.6134 0.9977 0.6552
S 0.8866 0.0023 0.1552
S 0.8866 0.4977 0.1552
S 0.8958 0.7500 0.4442

The 10 most intense peaks (2θ from 5° to 70°), in order of rising 2θ:
15.43 deg, d = 5.743 Å, I = 100
17.20 deg, d = 5.154 Å, I = 33
25.77 deg, d = 3.458 Å, I = 21
29.02 deg, d = 3.077 Å, I = 34
34.09 deg, d = 2.630 Å, I = 22
34.95 deg, d = 2.567 Å, I = 52
37.95 deg, d = 2.371 Å, I = 23
38.87 deg, d = 2.317 Å, I = 49
46.44 deg, d = 1.955 Å, I = 17
60.16 deg, d = 1.538 Å, I = 17

***

# CaSn2S5
Calculated X-ray powder pattern, Cu Kα. Input: a cell relaxed with GGA-PBE.
Peak positions follow from Bragg's law for the DFT cell and can differ from measured ones.

Structural model:
Cell lengths 11.7352, 11.7352, 10.2278 Å; angles 92.92, 92.92, 25.50 degrees
Positions (direct):
Ca 0.0000 0.0000 0.0000
Ca 0.1427 0.1427 0.5015
Ca 0.8573 0.8573 0.4985
Sn 0.2699 0.2699 0.1547
Sn 0.3483 0.3483 0.8142
Sn 0.4534 0.4534 0.2725
Sn 0.5466 0.5466 0.7275
Sn 0.6517 0.6517 0.1858
Sn 0.7301 0.7301 0.8453
S 0.0492 0.0492 0.6784
S 0.1449 0.1449 0.2192
S 0.2353 0.2353 0.8657
S 0.2884 0.2884 0.5664
S 0.3329 0.3329 0.3941
S 0.3757 0.3757 0.0801
S 0.4628 0.4628 0.8756
S 0.5000 0.5000 0.5000
S 0.5372 0.5372 0.1244
S 0.6243 0.6243 0.9199
S 0.6671 0.6671 0.6059
S 0.7116 0.7116 0.4336
S 0.7647 0.7647 0.1343
S 0.8551 0.8551 0.7808
S 0.9508 0.9508 0.3216

The 10 most intense peaks (2θ from 5° to 70°), in order of rising 2θ:
17.37 deg, d = 5.106 Å, I = 43
17.55 deg, d = 5.052 Å, I = 90
18.18 deg, d = 4.880 Å, I = 40
24.51 deg, d = 3.632 Å, I = 54
27.11 deg, d = 3.289 Å, I = 47
27.74 deg, d = 3.216 Å, I = 42
34.63 deg, d = 2.590 Å, I = 100
35.18 deg, d = 2.551 Å, I = 41
36.46 deg, d = 2.465 Å, I = 35
48.82 deg, d = 1.865 Å, I = 39

***

# CaSnS3
Calculated X-ray powder pattern, Cu Kα. Input: a cell relaxed with GGA-PBE.
Peak positions follow from Bragg's law for the DFT cell and can differ from measured ones.

Structural model:
Cell lengths 4.1201, 5.7034, 5.7034 Å; angles 79.03, 90.00, 90.00 degrees
Positions (direct):
Ca 0.0000 0.0000 0.0000
Sn 0.5000 0.3644 0.3644
S 0.5000 0.3305 0.8134
S 0.5000 0.7923 0.7923
S 0.5000 0.8134 0.3305

The 10 most intense peaks (2θ from 5° to 70°), in order of rising 2θ:
15.83 deg, d = 5.599 Å, I = 33
21.57 deg, d = 4.120 Å, I = 76
24.53 deg, d = 3.629 Å, I = 27
26.87 deg, d = 3.318 Å, I = 88
31.97 deg, d = 2.800 Å, I = 63
32.93 deg, d = 2.720 Å, I = 37
38.89 deg, d = 2.316 Å, I = 100
43.95 deg, d = 2.060 Å, I = 23
53.56 deg, d = 1.711 Å, I = 25
55.36 deg, d = 1.660 Å, I = 36

***

# CaSnS3
Calculated X-ray powder pattern, Cu Kα. Input: a cell relaxed with GGA-PBE.
Peak positions follow from Bragg's law for the DFT cell and can differ from measured ones.

Structural model:
Cell lengths 7.8743, 8.1119, 8.6944 Å; angles 90.00, 115.02, 90.00 degrees
Positions (direct):
Ca 0.1194 0.0974 0.3568
Ca 0.1194 0.4026 0.8568
Ca 0.8806 0.5974 0.1432
Ca 0.8806 0.9026 0.6432
Sn 0.3887 0.6756 0.5497
Sn 0.3887 0.8244 0.0497
Sn 0.6113 0.1756 0.9503
Sn 0.6113 0.3244 0.4503
S 0.0644 0.7206 0.9539
S 0.0644 0.7794 0.4539
S 0.2697 0.0682 0.8691
S 0.2697 0.4318 0.3691
S 0.4626 0.6128 0.8581
S 0.4626 0.8872 0.3581
S 0.5374 0.1128 0.6419
S 0.5374 0.3872 0.1419
S 0.7303 0.5682 0.6309
S 0.7303 0.9318 0.1309
S 0.9356 0.2206 0.5461
S 0.9356 0.2794 0.0461

The 10 most intense peaks (2θ from 5° to 70°), in order of rising 2θ:
12.41 deg, d = 7.135 Å, I = 76
16.55 deg, d = 5.358 Å, I = 60
22.57 deg, d = 3.939 Å, I = 53
23.40 deg, d = 3.802 Å, I = 83
25.43 deg, d = 3.503 Å, I = 100
27.31 deg, d = 3.266 Å, I = 74
31.67 deg, d = 2.825 Å, I = 52
36.26 deg, d = 2.477 Å, I = 44
43.64 deg, d = 2.074 Å, I = 48
53.98 deg, d = 1.699 Å, I = 48

***

# CaSnS3
Calculated X-ray powder pattern, Cu Kα. Input: a cell relaxed with GGA-PBE.
Peak positions follow from Bragg's law for the DFT cell and can differ from measured ones.

Structural model:
Cell lengths 5.3986, 4.9525, 4.9525 Å; angles 109.83, 90.00, 90.00 degrees
Positions (direct):
Ca 0.0000 0.0000 0.0000
Sn 0.5000 0.4727 0.4727
S 0.0000 0.5018 0.5018
S 0.5000 0.1811 0.8985
S 0.5000 0.8985 0.1811

The 10 most intense peaks (2θ from 5° to 70°), in order of rising 2θ:
16.42 deg, d = 5.399 Å, I = 71
19.05 deg, d = 4.659 Å, I = 43
21.93 deg, d = 4.053 Å, I = 100
25.25 deg, d = 3.527 Å, I = 68
31.42 deg, d = 2.847 Å, I = 73
33.19 deg, d = 2.699 Å, I = 71
36.82 deg, d = 2.441 Å, I = 43
38.65 deg, d = 2.329 Å, I = 45
40.56 deg, d = 2.224 Å, I = 81
46.35 deg, d = 1.959 Å, I = 47

***

# Ca3Ti4S8
Calculated X-ray powder pattern, Cu Kα. Input: a cell relaxed with GGA-PBE.
Peak positions follow from Bragg's law for the DFT cell and can differ from measured ones.

Structural model:
Cell lengths 7.1203, 7.1203, 9.0197 Å; angles 125.72, 125.72, 60.33 degrees
Positions (direct):
Ca 0.0000 0.0000 0.0000
Ca 0.0000 0.5000 0.0000
Ca 0.5000 0.0000 0.0000
Ti 0.2607 0.2607 0.5056
Ti 0.2787 0.7213 0.5000
Ti 0.7213 0.2787 0.5000
Ti 0.7393 0.7393 0.4944
S 0.0208 0.5260 0.7147
S 0.0217 0.0217 0.7091
S 0.4700 0.4700 0.2669
S 0.4740 0.9792 0.2853
S 0.5260 0.0208 0.7147
S 0.5300 0.5300 0.7331
S 0.9783 0.9783 0.2909
S 0.9792 0.4740 0.2853

The 10 most intense peaks (2θ from 5° to 70°), in order of rising 2θ:
13.31 deg, d = 6.653 Å, I = 46
28.86 deg, d = 3.093 Å, I = 31
31.88 deg, d = 2.807 Å, I = 52
31.97 deg, d = 2.800 Å, I = 48
39.69 deg, d = 2.271 Å, I = 96
39.90 deg, d = 2.260 Å, I = 100
40.11 deg, d = 2.248 Å, I = 23
51.04 deg, d = 1.789 Å, I = 35
51.33 deg, d = 1.780 Å, I = 54
66.54 deg, d = 1.405 Å, I = 19

***

# CaTi2S5
Calculated X-ray powder pattern, Cu Kα. Input: a cell relaxed with GGA-PBE.
Peak positions follow from Bragg's law for the DFT cell and can differ from measured ones.

Structural model:
Cell lengths 4.2762, 14.5075, 6.0640 Å; angles 90.00, 90.00, 90.00 degrees
Positions (direct):
Ca 0.2500 0.2500 0.1281
Ca 0.7500 0.7500 0.8719
Ti 0.2500 0.5967 0.3983
Ti 0.2500 0.9033 0.3983
Ti 0.7500 0.0967 0.6017
Ti 0.7500 0.4033 0.6017
S 0.2500 0.0749 0.4257
S 0.2500 0.4251 0.4257
S 0.2500 0.6260 0.0488
S 0.2500 0.7500 0.5385
S 0.2500 0.8740 0.0488
S 0.7500 0.1260 0.9512
S 0.7500 0.2500 0.4615
S 0.7500 0.3740 0.9512
S 0.7500 0.5749 0.5743
S 0.7500 0.9251 0.5743

The 10 most intense peaks (2θ from 5° to 70°), in order of rising 2θ:
14.61 deg, d = 6.064 Å, I = 68
19.08 deg, d = 4.652 Å, I = 44
21.67 deg, d = 4.102 Å, I = 37
23.53 deg, d = 3.781 Å, I = 44
25.49 deg, d = 3.495 Å, I = 100
29.46 deg, d = 3.032 Å, I = 45
31.59 deg, d = 2.832 Å, I = 54
37.19 deg, d = 2.418 Å, I = 49
38.45 deg, d = 2.341 Å, I = 54
42.27 deg, d = 2.138 Å, I = 62

***

# CaTiS2
Calculated X-ray powder pattern, Cu Kα. Input: a cell relaxed with GGA-PBE.
Peak positions follow from Bragg's law for the DFT cell and can differ from measured ones.

Structural model:
Cell lengths 3.6451, 3.6451, 6.5415 Å; angles 90.00, 90.00, 120.00 degrees
Positions (direct):
Ca 0.0000 0.0000 0.0000
Ti 0.0000 0.0000 0.5000
S 0.3333 0.6667 0.2803
S 0.6667 0.3333 0.7197

The 10 most intense peaks (2θ from 5° to 70°), in order of rising 2θ:
13.54 deg, d = 6.542 Å, I = 6
28.27 deg, d = 3.157 Å, I = 28
31.47 deg, d = 2.843 Å, I = 43
39.68 deg, d = 2.271 Å, I = 100
50.05 deg, d = 1.823 Å, I = 38
50.90 deg, d = 1.794 Å, I = 8
56.25 deg, d = 1.635 Å, I = 7
60.32 deg, d = 1.534 Å, I = 5
64.13 deg, d = 1.452 Å, I = 8
65.68 deg, d = 1.422 Å, I = 20

***

# CaTi2S4
Calculated X-ray powder pattern, Cu Kα. Input: a cell relaxed with GGA-PBE.
Peak positions follow from Bragg's law for the DFT cell and can differ from measured ones.

Structural model:
Cell lengths 7.5047, 7.5047, 5.9786 Å; angles 111.89, 111.89, 27.33 degrees
Positions (direct):
Ca 0.0000 0.0000 0.0000
Ti 0.2538 0.2538 0.2697
Ti 0.7462 0.7462 0.7303
S 0.1398 0.1398 0.4815
S 0.3546 0.3546 0.0128
S 0.6454 0.6454 0.9872
S 0.8602 0.8602 0.5185

The 10 most intense peaks (2θ from 5° to 70°), in order of rising 2θ:
13.15 deg, d = 6.734 Å, I = 100
32.04 deg, d = 2.793 Å, I = 64
32.41 deg, d = 2.762 Å, I = 25
33.14 deg, d = 2.703 Å, I = 35
39.58 deg, d = 2.277 Å, I = 100
40.18 deg, d = 2.244 Å, I = 44
40.95 deg, d = 2.204 Å, I = 41
51.54 deg, d = 1.773 Å, I = 25
52.70 deg, d = 1.737 Å, I = 45
67.86 deg, d = 1.381 Å, I = 25

***

# CaTi2S4
Calculated X-ray powder pattern, Cu Kα. Input: a cell relaxed with GGA-PBE.
Peak positions follow from Bragg's law for the DFT cell and can differ from measured ones.

Structural model:
Cell lengths 7.6982, 7.6982, 7.6982 Å; angles 122.72, 122.72, 85.35 degrees
Positions (direct):
Ca 0.3750 0.6250 0.7500
Ca 0.6250 0.3750 0.2500
Ti 0.0000 0.0000 0.0000
Ti 0.0000 0.0000 0.5000
Ti 0.0000 0.5000 0.0000
Ti 0.5000 0.0000 0.5000
S 0.2035 0.2238 0.9797
S 0.2238 0.2035 0.4797
S 0.2238 0.7442 0.0203
S 0.2558 0.7762 0.4797
S 0.7442 0.2238 0.5203
S 0.7762 0.2558 0.9797
S 0.7762 0.7965 0.5203
S 0.7965 0.7762 0.0203

The 10 most intense peaks (2θ from 5° to 70°), in order of rising 2θ:
14.33 deg, d = 6.182 Å, I = 60
23.18 deg, d = 3.836 Å, I = 30
26.53 deg, d = 3.360 Å, I = 26
28.17 deg, d = 3.168 Å, I = 100
31.62 deg, d = 2.830 Å, I = 36
34.37 deg, d = 2.609 Å, I = 74
41.73 deg, d = 2.164 Å, I = 43
45.01 deg, d = 2.014 Å, I = 49
47.39 deg, d = 1.918 Å, I = 94
49.40 deg, d = 1.845 Å, I = 49